[1]
Diffraction record for Nb8Si2Sb4Pd. The X-ray diffraction stick pattern is computed, not measured: it uses a cell relaxed with PBE and Cu Ka.
Lines closer than 0.1° are merged.

```
Nb8Si2Sb4Pd
1.0
-5.271 5.271 2.504
5.271 -5.271 2.504
5.271 5.271 -2.504
Nb Si Sb Pd
8 2 4 1
direct
0.049 0.675 0.212 Nb
0.163 0.951 0.626 Nb
0.325 0.537 0.374 Nb
0.463 0.837 0.788 Nb
0.537 0.325 0.374 Nb
0.675 0.049 0.212 Nb
0.837 0.463 0.788 Nb
0.951 0.163 0.626 Nb
0.000 0.500 0.500 Si
0.500 0.000 0.500 Si
0.125 0.429 0.000 Sb
0.429 0.125 0.000 Sb
0.571 0.571 0.697 Sb
0.875 0.875 0.303 Sb
0.000 0.000 0.000 Pd
```

Peak list (8 most intense, 10 to 90 degrees two-theta, low angle first)
2θ 26.0, I 18.9; 2θ 35.6, I 73.3; 2θ 35.9, I 32.4; 2θ 38.2, I 27.6; 2θ 39.6, I 100.0; 2θ 39.9, I 16.9; 2θ 62.3, I 16.8; 2θ 66.9, I 18.0

=====

[2]
Diffraction record for ScNbPd. The X-ray diffraction stick pattern is computed, not measured: it uses a cell relaxed with PBE and Cu Ka.
Lines closer than 0.1° are merged.

```
ScNbPd
1.0
2.267 -7.405 0.000
2.267 7.405 0.000
0.000 0.000 3.242
Sc Nb Pd
2 2 2
direct
0.171 0.829 0.000 Sc
0.829 0.171 0.000 Sc
0.000 0.000 0.500 Nb
0.500 0.500 0.000 Nb
0.336 0.664 0.500 Pd
0.664 0.336 0.500 Pd
```

Peak list (8 most intense, 10 to 90 degrees two-theta, low angle first)
2θ 26.7, I 8.8; 2θ 36.4, I 29.6; 2θ 38.7, I 100.0; 2θ 39.8, I 23.2; 2θ 55.0, I 17.3; 2θ 67.0, I 18.4; 2θ 71.5, I 23.0; 2θ 83.0, I 10.1

=====

[3]
Diffraction record for Nb2Pd3Se8. The X-ray diffraction stick pattern is computed, not measured: it uses a cell relaxed with PBE and Cu Ka.
Lines closer than 0.1° are merged.

```
Nb2Pd3Se8
1.0
11.165 0.000 0.000
0.000 15.501 0.000
0.000 0.000 3.621
Nb Pd Se
4 6 16
direct
0.194 0.124 0.000 Nb
0.306 0.624 0.000 Nb
0.694 0.376 0.000 Nb
0.806 0.876 0.000 Nb
0.000 0.000 0.500 Pd
0.147 0.726 0.500 Pd
0.353 0.226 0.500 Pd
0.500 0.500 0.500 Pd
0.647 0.774 0.500 Pd
0.853 0.274 0.500 Pd
0.027 0.158 0.500 Se
0.074 0.628 0.000 Se
0.221 0.002 0.500 Se
0.226 0.289 0.000 Se
0.274 0.789 0.000 Se
0.279 0.502 0.500 Se
0.426 0.128 0.000 Se
0.473 0.658 0.500 Se
0.527 0.342 0.500 Se
0.574 0.872 0.000 Se
0.721 0.498 0.500 Se
0.726 0.211 0.000 Se
0.774 0.711 0.000 Se
0.779 0.998 0.500 Se
0.926 0.372 0.000 Se
0.973 0.842 0.500 Se
```

Peak list (8 most intense, 10 to 90 degrees two-theta, low angle first)
2θ 13.9, I 100.0; 2θ 26.5, I 59.8; 2θ 33.9, I 60.5; 2θ 34.2, I 26.8; 2θ 41.3, I 52.9; 2θ 42.5, I 40.3; 2θ 43.8, I 48.6; 2θ 50.4, I 35.9

=====

Q: Number 2 is which compound?
A: ScNbPd